Diffraction record for Ho3Hg5. The powder X-ray diffraction pattern is theoretical, not measured: it uses DFT lattice parameters and positions (GGA-PBE) and a wavelength of 1.5418 Å.
Neutral-atom scattering factors, no anomalous dispersion.

Principal peaks in the range 2θ from 10° to 90°, in order of rising 2θ:
two_theta, I/Imax
34.2, 100
35.4, 25
35.7, 20
39.6, 10
51.1, 13
62.7, 14
63.2, 9
72.0, 7

Crystal structure
```
Ho3Hg5
1.0
5.031 -3.865 0.000
5.031 3.865 0.000
0.000 0.000 10.149
Ho Hg
6 10
direct
0.059 0.941 0.750 Ho
0.286 0.286 0.000 Ho
0.286 0.286 0.500 Ho
0.714 0.714 0.000 Ho
0.714 0.714 0.500 Ho
0.941 0.059 0.250 Ho
0.027 0.533 0.250 Hg
0.209 0.791 0.026 Hg
0.209 0.791 0.474 Hg
0.463 0.537 0.750 Hg
0.467 0.973 0.250 Hg
0.533 0.027 0.750 Hg
0.537 0.463 0.250 Hg
0.791 0.209 0.526 Hg
0.791 0.209 0.974 Hg
0.973 0.467 0.750 Hg
```